# 1
Starting from the GGA-PBE geometry in Alexandria, the X-ray diffraction stick pattern of SrLi2P2O7 was computed for λ = 1.5418 Å (Cu Kα).
No peak broadening, texture or thermal motion is included.

Crystal structure
```
data_SrLi2P2O7
_cell_length_a 5.3026
_cell_length_b 5.3026
_cell_length_c 21.7242
_cell_angle_alpha 90.00
_cell_angle_beta 90.00
_cell_angle_gamma 120.00
_space_group_name_H-M_alt 'R 3 2'
_space_group_IT_number 155
_space_group_name_Hall 'R 3 2"'
loop_
_atom_site_label
_atom_site_type_symbol
_atom_site_fract_x
_atom_site_fract_y
_atom_site_fract_z
_atom_site_occupancy
Sr1 Sr 0.0000 0.0000 0.0000 1
Li1 Li 0.0000 0.0000 0.2441 1
P1 P 0.0000 0.0000 0.4262 1
O1 O 0.0000 0.0000 0.5000 1
O2 O 0.0210 0.2875 0.4064 1
```

Top 10 peaks for 5° ≤ 2θ ≤ 70°, by angle:
2θ/deg, intensity, h k l
12.2, 35.7, 0 0 3
21.0, 100.0, 0 1 2
25.4, 23.9, 1 0 4
28.3, 47.9, 0 1 5
33.8, 36.6, 1 1 0
34.9, 30.3, 1 0 7
40.1, 17.1, 2 0 2
42.2, 16.5, 1 1 6
51.2, 16.3, 1 1 9
60.5, 13.6, 3 0 0

# 2
Starting from the GGA-PBE geometry in Alexandria, the X-ray diffraction stick pattern of SrLiPO4 was computed for λ = 1.5418 Å (Cu Kα).
No peak broadening, texture or thermal motion is included.

Crystal structure
```
data_SrLiPO4
_cell_length_a 5.0824
_cell_length_b 5.0824
_cell_length_c 8.4198
_cell_angle_alpha 90.00
_cell_angle_beta 90.00
_cell_angle_gamma 120.00
_space_group_name_H-M_alt 'P 63'
_space_group_IT_number 173
loop_
_space_group_symop_operation_xyz
'x,y,z'
'x-y,x,z+1/2'
'-y,x-y,z'
'-x,-y,z+1/2'
'-x+y,-x,z'
'y,-x+y,z+1/2'
loop_
_atom_site_label
_atom_site_type_symbol
_atom_site_fract_x
_atom_site_fract_y
_atom_site_fract_z
_atom_site_occupancy
Sr1 Sr 0.0000 0.0000 0.0000 1
Li1 Li 0.3333 0.6667 0.1969 1
P1 P 0.3333 0.6667 0.7921 1
O1 O 0.0593 0.6985 0.7359 1
O2 O 0.3333 0.6667 0.9762 1
```

Top 10 peaks for 5° ≤ 2θ ≤ 70°, by angle:
2θ/deg, intensity, h k l
20.2, 47.6, 1 0 0
22.8, 36.3, 1 0 1
29.4, 100.0, 1 0 2
35.3, 45.7, 1 1 0
41.5, 38.9, 1 1 2
43.0, 16.2, 0 0 4
46.6, 29.4, 2 0 2
56.8, 16.2, 1 1 4
59.8, 24.9, 1 2 2
63.4, 15.6, 3 0 0

# 3
Starting from the GGA-PBE geometry in Alexandria, the X-ray diffraction stick pattern of LiTb2P2O8 was computed for λ = 1.5418 Å (Cu Kα).
No peak broadening, texture or thermal motion is included.

Crystal structure
```
data_LiTb2P2O8
_cell_length_a 6.139
_cell_length_b 10.407
_cell_length_c 5.780
_cell_angle_alpha 90.00
_cell_angle_beta 120.00
_cell_angle_gamma 90.00
_space_group_name_H-M_alt 'C 1 2 1'
_space_group_IT_number 5
loop_
_space_group_symop_operation_xyz
'x,y,z'
'-x,y,-z'
'x+1/2,y+1/2,z'
'-x+1/2,y+1/2,-z'
loop_
_atom_site_label
_atom_site_type_symbol
_atom_site_fract_x
_atom_site_fract_y
_atom_site_fract_z
_atom_site_occupancy
Li1 Li 0.000 0.000 0.000 1
Tb1 Tb 0.000 0.481 0.500 1
Tb2 Tb 0.000 0.715 0.000 1
P1 P 0.000 0.241 0.000 1
P2 P 0.000 0.982 0.500 1
O1 O 0.065 0.900 0.316 1
O2 O 0.080 0.319 0.828 1
O3 O 0.232 0.150 0.169 1
O4 O 0.240 0.065 0.667 1
```

Top 10 peaks for 5° ≤ 2θ ≤ 70°, by angle:
2θ/deg, intensity, h k l
18.7, 29.7, 1 1 0
19.2, 24.4, 1 1 -1
24.7, 100.0, 0 2 1
33.7, 17.3, 2 0 0
33.9, 31.8, 2 2 -1
34.8, 16.0, 2 0 -2
39.9, 15.1, 1 3 1
49.0, 13.7, 2 4 0
49.8, 13.2, 2 4 -2
50.6, 13.9, 0 4 2

# 4
Starting from the GGA-PBE geometry in Alexandria, the X-ray diffraction stick pattern of LiTb2P2O8 was computed for λ = 1.5418 Å (Cu Kα).
No peak broadening, texture or thermal motion is included.

Crystal structure
```
data_LiTb2P2O8
_cell_length_a 9.251
_cell_length_b 7.006
_cell_length_c 6.155
_cell_angle_alpha 90.00
_cell_angle_beta 125.93
_cell_angle_gamma 90.00
_space_group_name_H-M_alt 'C 1 2 1'
_space_group_IT_number 5
loop_
_space_group_symop_operation_xyz
'x,y,z'
'-x,y,-z'
'x+1/2,y+1/2,z'
'-x+1/2,y+1/2,-z'
loop_
_atom_site_label
_atom_site_type_symbol
_atom_site_fract_x
_atom_site_fract_y
_atom_site_fract_z
_atom_site_occupancy
Li1 Li 0.000 0.000 0.000 1
Tb1 Tb 0.210 0.769 0.603 1
P1 P 0.240 0.256 0.856 1
O1 O 0.083 0.775 0.855 1
O2 O 0.090 0.238 0.894 1
O3 O 0.231 0.436 0.695 1
O4 O 0.241 0.088 0.690 1
```

Top 10 peaks for 5° ≤ 2θ ≤ 70°, by angle:
2θ/deg, intensity, h k l
17.8, 44.6, 0 0 1
19.2, 67.6, 1 1 -1
23.8, 100.0, 2 0 0
25.4, 97.7, 0 2 0
31.9, 37.7, 3 1 -1
33.1, 73.2, 1 1 -2
35.1, 95.7, 3 1 -2
37.6, 31.6, 2 0 1
49.9, 29.9, 1 3 -2
51.4, 26.3, 3 3 -2

# 5
Starting from the GGA-PBE geometry in Alexandria, the X-ray diffraction stick pattern of Li3TiP2O8 was computed for λ = 1.5418 Å (Cu Kα).
No peak broadening, texture or thermal motion is included.

Crystal structure
```
data_Li3TiP2O8
_cell_length_a 5.019
_cell_length_b 18.025
_cell_length_c 7.850
_cell_angle_alpha 90.00
_cell_angle_beta 126.42
_cell_angle_gamma 90.00
_space_group_name_H-M_alt 'P 1 21/c 1'
_space_group_IT_number 14
loop_
_space_group_symop_operation_xyz
'x,y,z'
'-x,-y,-z'
'-x,y+1/2,-z+1/2'
'x,-y+1/2,z+1/2'
loop_
_atom_site_label
_atom_site_type_symbol
_atom_site_fract_x
_atom_site_fract_y
_atom_site_fract_z
_atom_site_occupancy
Li1 Li 0.010 0.061 0.214 1
Li2 Li 0.281 0.115 0.998 1
Li3 Li 0.361 0.700 0.682 1
Ti1 Ti 0.175 0.627 0.982 1
P1 P 0.131 0.216 0.298 1
P2 P 0.487 0.536 0.769 1
O1 O 0.052 0.173 0.105 1
O2 O 0.143 0.699 0.170 1
O3 O 0.157 0.198 0.772 1
O4 O 0.183 0.066 0.530 1
O5 O 0.186 0.561 0.771 1
O6 O 0.430 0.565 0.568 1
O7 O 0.476 0.193 0.501 1
O8 O 0.486 0.051 0.277 1
```

Top 10 peaks for 5° ≤ 2θ ≤ 70°, by angle:
2θ/deg, intensity, h k l
14.9, 100.0, 0 1 1
20.4, 38.4, 0 3 1
23.8, 29.6, 1 1 -2
24.1, 89.6, 1 2 0
24.3, 59.5, 0 4 1
25.3, 81.3, 1 2 -2
26.6, 36.2, 1 3 0
34.2, 38.5, 1 2 1
34.7, 79.6, 0 4 2
34.8, 71.0, 1 6 -1

# 6
Starting from the GGA-PBE geometry in Alexandria, the X-ray diffraction stick pattern of LiTi2P3O12 was computed for λ = 1.5418 Å (Cu Kα).
No peak broadening, texture or thermal motion is included.

Crystal structure
```
data_LiTi2P3O12
_cell_length_a 8.451
_cell_length_b 8.466
_cell_length_c 8.949
_cell_angle_alpha 118.00
_cell_angle_beta 90.15
_cell_angle_gamma 119.85
_space_group_name_H-M_alt 'P 1'
_space_group_IT_number 1
loop_
_space_group_symop_operation_xyz
'x,y,z'
loop_
_atom_site_label
_atom_site_type_symbol
_atom_site_fract_x
_atom_site_fract_y
_atom_site_fract_z
_atom_site_occupancy
Li1 Li 0.000 0.000 0.000 1
Li2 Li 0.441 0.673 0.992 1
Ti1 Ti 0.033 0.320 0.921 1
Ti2 Ti 0.332 0.904 0.794 1
Ti3 Ti 0.546 0.327 0.434 1
Ti4 Ti 0.828 0.897 0.299 1
P1 P 0.155 0.833 0.111 1
P2 P 0.220 0.395 0.615 1
P3 P 0.435 0.391 0.107 1
P4 P 0.651 0.108 0.607 1
P5 P 0.718 0.111 0.113 1
P6 P 0.934 0.823 0.614 1
O1 O 0.046 0.192 0.451 1
O2 O 0.135 0.864 0.646 1
O3 O 0.160 0.871 0.957 1
O4 O 0.164 0.635 0.059 1
O5 O 0.218 0.377 0.780 1
O6 O 0.221 0.596 0.662 1
O7 O 0.227 0.334 0.069 1
O8 O 0.323 0.031 0.279 1
O9 O 0.406 0.427 0.576 1
O10 O 0.446 0.214 0.951 1
O11 O 0.489 0.409 0.281 1
O12 O 0.506 0.959 0.662 1
O13 O 0.519 0.930 0.967 1
O14 O 0.573 0.610 0.123 1
O15 O 0.588 0.241 0.588 1
O16 O 0.668 0.966 0.428 1
O17 O 0.702 0.250 0.290 1
O18 O 0.782 0.608 0.591 1
O19 O 0.796 0.985 0.128 1
O20 O 0.849 0.268 0.753 1
O21 O 0.862 0.258 0.054 1
O22 O 0.888 0.819 0.445 1
O23 O 0.934 0.003 0.780 1
O24 O 0.964 0.794 0.146 1
```

Top 10 peaks for 5° ≤ 2θ ≤ 70°, by angle:
2θ/deg, intensity, h k l
14.4, 87.9, 1 0 -1
19.9, 72.8, 1 0 1
21.0, 23.0, 1 -2 1
24.1, 100.0, 1 1 0
24.2, 51.8, 1 -2 2
29.0, 21.8, 0 2 0
29.1, 42.3, 2 0 -2
31.8, 28.9, 1 1 1
31.9, 28.4, 1 -2 3
32.6, 21.6, 1 2 -2

# 7
Starting from the GGA-PBE geometry in Alexandria, the X-ray diffraction stick pattern of LiTi2P3O12 was computed for λ = 1.5418 Å (Cu Kα).
No peak broadening, texture or thermal motion is included.

Crystal structure
```
data_LiTi2P3O12
_cell_length_a 14.907
_cell_length_b 8.621
_cell_length_c 8.610
_cell_angle_alpha 90.00
_cell_angle_beta 125.18
_cell_angle_gamma 90.00
_space_group_name_H-M_alt 'C 1 2 1'
_space_group_IT_number 5
loop_
_space_group_symop_operation_xyz
'x,y,z'
'-x,y,-z'
'x+1/2,y+1/2,z'
'-x+1/2,y+1/2,-z'
loop_
_atom_site_label
_atom_site_type_symbol
_atom_site_fract_x
_atom_site_fract_y
_atom_site_fract_z
_atom_site_occupancy
Li1 Li 0.249 0.000 0.249 1
Ti1 Ti 0.108 0.499 0.891 1
Ti2 Ti 0.109 0.999 0.391 1
P1 P 0.000 0.708 0.500 1
P2 P 0.000 0.789 0.000 1
P3 P 0.145 0.144 0.791 1
P4 P 0.145 0.353 0.290 1
O1 O 0.034 0.090 0.748 1
O2 O 0.034 0.407 0.248 1
O3 O 0.061 0.686 0.943 1
O4 O 0.061 0.812 0.443 1
O5 O 0.087 0.605 0.666 1
O6 O 0.087 0.893 0.166 1
O7 O 0.152 0.094 0.626 1
O8 O 0.153 0.403 0.126 1
O9 O 0.158 0.175 0.306 1
O10 O 0.158 0.322 0.807 1
O11 O 0.236 0.069 0.981 1
O12 O 0.236 0.428 0.481 1
```

Top 10 peaks for 5° ≤ 2θ ≤ 70°, by angle:
2θ/deg, intensity, h k l
14.5, 19.9, 2 0 0
20.6, 57.7, 3 1 -1
24.2, 100.0, 3 1 0
29.3, 26.5, 4 0 0
32.0, 15.9, 2 2 1
32.9, 24.6, 5 1 -1
36.1, 22.2, 2 0 2
47.2, 17.9, 5 3 -3
49.6, 15.4, 6 2 0
56.5, 22.4, 3 1 3